(1)
Starting from a PBE+U-relaxed structure, the powder X-ray diffraction pattern of VFeP4O14 was calculated for copper Kα.
Kinematic intensities with the Lorentz-polarization factor, no thermal factor.

Structural model:
```
data_VFeP4O14
_chemical_formula_sum 'V1 Fe1 P4 O14'
_cell_length_a 4.8847
_cell_length_b 6.9840
_cell_length_c 8.1223
_cell_angle_alpha 89.49
_cell_angle_beta 89.19
_cell_angle_gamma 74.65
_symmetry_space_group_name_H-M 'P 1'
_symmetry_Int_Tables_number 1
_symmetry_space_group_name_Hall 'P 1'
loop_
_atom_site_label
_atom_site_fract_x
_atom_site_fract_y
_atom_site_fract_z
V1 0.0000 0.0000 0.0000
Fe1 0.5704 0.4615 0.5020
P1 0.0373 0.6177 0.2623
P2 0.1685 0.2252 0.6818
P3 0.3995 0.2329 0.1890
P4 0.5473 0.8393 0.7647
O1 0.0589 0.1990 0.8618
O2 0.2038 0.0930 0.1677
O3 0.2221 0.4516 0.1346
O4 0.2222 0.6472 0.4024
O5 0.3426 0.8294 0.9120
O6 0.3438 0.3732 0.6831
O7 0.3736 0.0065 0.6422
O8 0.4938 0.2374 0.3639
O9 0.6429 0.6520 0.6675
O10 0.6492 0.1763 0.0645
O11 0.7725 0.5582 0.3111
O12 0.8028 0.9050 0.8295
O13 0.9279 0.2589 0.5623
O14 0.9590 0.8032 0.1456
```

Principal peaks in the range 2θ from 5° to 70°, low angle first:
| 2θ (°) | Rel. int. | h k l |
| --- | --- | --- |
| 17.10 | 100 | 0 1 1 |
| 21.70 | 12 | 1 0 1 |
| 21.92 | 19 | 1 0 -1 |
| 22.63 | 16 | 1 1 1 |
| 22.92 | 18 | 1 1 -1 |
| 28.01 | 13 | 1 -1 1 |
| 29.55 | 22 | 1 1 2 |
| 30.01 | 22 | 1 1 -2 |

=====

(2)
Starting from a PBE+U-relaxed structure, the powder X-ray diffraction pattern of V3FeP6O24 was calculated for copper Kα.
Kinematic intensities with the Lorentz-polarization factor, no thermal factor.

Structural model:
```
data_V3FeP6O24
_chemical_formula_sum 'V9 Fe3 P18 O72'
_cell_length_a 8.4602
_cell_length_b 8.4602
_cell_length_c 21.7931
_cell_angle_alpha 90.00
_cell_angle_beta 90.00
_cell_angle_gamma 120.00
_symmetry_space_group_name_H-M 'R 3'
_symmetry_Int_Tables_number 146
_symmetry_space_group_name_Hall 'R 3'
loop_
_atom_site_label
_atom_site_fract_x
_atom_site_fract_y
_atom_site_fract_z
V1 0.0000 0.0000 0.0000
V2 0.0000 0.0000 0.2173
V3 0.0000 0.0000 0.7200
Fe1 0.0000 0.0000 0.5008
P1 0.0027 0.2835 0.6089
P2 0.0566 0.6716 0.7764
O1 0.0094 0.1874 0.9523
O2 0.0113 0.8282 0.7696
O3 0.0570 0.2062 0.2651
O4 0.0630 0.2170 0.5545
O5 0.1580 0.4731 0.3351
O6 0.1579 0.6759 0.7170
O7 0.1785 0.7316 0.1164
O8 0.1884 0.7267 0.8322
```

Principal peaks in the range 2θ from 5° to 70°, low angle first:
| 2θ (°) | Rel. int. | h k l |
| --- | --- | --- |
| 14.57 | 50 | 0 1 2 |
| 20.31 | 60 | 1 0 4 |
| 21.00 | 26 | 1 1 0 |
| 24.35 | 100 | 2 -1 3 |
| 29.38 | 49 | 0 2 4 |
| 32.49 | 31 | 1 1 6 |
| 32.60 | 15 | 2 1 1 |
| 53.51 | 12 | 2 1 10 |

=====

(3)
Starting from a PBE+U-relaxed structure, the powder X-ray diffraction pattern of V2Fe3P6WO24 was calculated for copper Kα.
Kinematic intensities with the Lorentz-polarization factor, no thermal factor.

Structural model:
```
data_V2Fe3P6WO24
_chemical_formula_sum 'V6 Fe9 P18 W3 O72'
_cell_length_a 8.6750
_cell_length_b 8.6750
_cell_length_c 21.1780
_cell_angle_alpha 90.00
_cell_angle_beta 90.00
_cell_angle_gamma 120.00
_symmetry_space_group_name_H-M 'R 3'
_symmetry_Int_Tables_number 146
_symmetry_space_group_name_Hall 'R 3'
loop_
_atom_site_label
_atom_site_fract_x
_atom_site_fract_y
_atom_site_fract_z
V1 0.0000 0.0000 0.0000
V2 0.0000 0.0000 0.4975
Fe1 0.0000 0.0000 0.1426
Fe2 0.0000 0.0000 0.3523
Fe3 0.0000 0.0000 0.6417
P1 0.0049 0.7117 0.2467
P2 0.0365 0.3688 0.4118
W1 0.0000 0.0000 0.8529
O1 0.0053 0.1978 0.8070
O2 0.0149 0.8332 0.9176
O3 0.0213 0.1850 0.4208
O4 0.1383 0.6705 0.9739
O5 0.1401 0.6716 0.8533
O6 0.1416 0.4692 0.3540
O7 0.1674 0.4829 0.7413
O8 0.1679 0.6850 0.2413
```

Principal peaks in the range 2θ from 5° to 70°, low angle first:
| 2θ (°) | Rel. int. | h k l |
| --- | --- | --- |
| 12.51 | 26 | 0 0 3 |
| 20.49 | 100 | 1 1 0 |
| 24.08 | 66 | 1 1 3 |
| 32.71 | 56 | 2 -1 6 |
| 35.87 | 39 | 3 0 0 |
| 46.91 | 23 | 1 2 8 |
| 49.31 | 21 | 2 2 6 |
| 56.13 | 32 | 1 4 0 |

=====

(4)
Starting from a PBE+U-relaxed structure, the powder X-ray diffraction pattern of FeP2WO8 was calculated for copper Kα.
Kinematic intensities with the Lorentz-polarization factor, no thermal factor.

Structural model:
```
data_FeP2WO8
_chemical_formula_sum 'Fe2 P4 W2 O16'
_cell_length_a 5.0036
_cell_length_b 6.0253
_cell_length_c 10.1433
_cell_angle_alpha 90.00
_cell_angle_beta 92.94
_cell_angle_gamma 90.00
_symmetry_space_group_name_H-M 'P 1 21/m 1'
_symmetry_Int_Tables_number 11
_symmetry_space_group_name_Hall '-P 2yb'
loop_
_atom_site_label
_atom_site_fract_x
_atom_site_fract_y
_atom_site_fract_z
Fe1 0.0656 0.2500 0.2232
P1 0.1254 0.7500 0.0941
P2 0.3958 0.7500 0.5876
W1 0.4320 0.2500 0.7193
O1 0.1523 0.7500 0.9467
O2 0.1675 0.2500 0.8708
O3 0.2618 0.5460 0.6595
O4 0.2867 0.5534 0.1667
O5 0.3028 0.2500 0.3898
O6 0.3105 0.7500 0.4404
```

Principal peaks in the range 2θ from 5° to 70°, low angle first:
| 2θ (°) | Rel. int. | h k l |
| --- | --- | --- |
| 17.12 | 59 | 0 1 1 |
| 17.51 | 76 | 0 0 2 |
| 20.21 | 32 | 1 0 1 |
| 24.41 | 100 | 1 1 -1 |
| 25.09 | 48 | 1 1 1 |
| 29.67 | 80 | 0 2 0 |
| 34.65 | 61 | 1 1 -3 |
| 36.11 | 39 | 1 1 3 |

=====

(5)
Starting from a PBE+U-relaxed structure, the powder X-ray diffraction pattern of ZnFePO5 was calculated for copper Kα.
Kinematic intensities with the Lorentz-polarization factor, no thermal factor.

Structural model:
```
data_ZnFePO5
_chemical_formula_sum 'Zn2 Fe2 P2 O10'
_cell_length_a 5.5044
_cell_length_b 5.5066
_cell_length_c 7.2255
_cell_angle_alpha 108.51
_cell_angle_beta 108.50
_cell_angle_gamma 94.61
_symmetry_space_group_name_H-M 'P 1'
_symmetry_Int_Tables_number 1
_symmetry_space_group_name_Hall 'P 1'
loop_
_atom_site_label
_atom_site_fract_x
_atom_site_fract_y
_atom_site_fract_z
Zn1 0.0000 0.0000 0.0000
Zn2 0.3752 0.6306 0.5008
Fe1 0.6777 0.3165 0.2196
Fe2 0.6888 0.3055 0.7197
P1 0.0381 0.9517 0.4685
P2 0.3253 0.6672 0.9691
O1 0.0185 0.6143 0.8680
O2 0.3447 0.0112 0.5761
O3 0.3823 0.9736 0.0760
O4 0.4151 0.5356 0.1306
O5 0.4520 0.5821 0.8010
O6 0.5984 0.3942 0.4707
O7 0.7660 0.2257 0.9704
O8 0.9053 0.0406 0.6292
O9 0.9520 0.0771 0.2997
O10 0.9876 0.6452 0.3683
```

Principal peaks in the range 2θ from 5° to 70°, low angle first:
| 2θ (°) | Rel. int. | h k l |
| --- | --- | --- |
| 17.86 | 8 | 1 0 -1 |
| 27.03 | 100 | 1 1 0 |
| 35.83 | 9 | 1 -1 2 |
| 35.97 | 26 | 1 -2 0 |
| 39.52 | 6 | 1 0 -3 |
| 50.53 | 8 | 1 1 -4 |
| 53.78 | 13 | 0 3 0 |
| 55.73 | 8 | 2 2 0 |

=====

(6)
Starting from a PBE+U-relaxed structure, the powder X-ray diffraction pattern of ZnFeP2O8 was calculated for copper Kα.
Kinematic intensities with the Lorentz-polarization factor, no thermal factor.

Structural model:
```
data_ZnFeP2O8
_chemical_formula_sum 'Zn2 Fe2 P4 O16'
_cell_length_a 4.9174
_cell_length_b 5.9458
_cell_length_c 9.9721
_cell_angle_alpha 90.00
_cell_angle_beta 90.51
_cell_angle_gamma 90.00
_symmetry_space_group_name_H-M 'P 1 21/m 1'
_symmetry_Int_Tables_number 11
_symmetry_space_group_name_Hall '-P 2yb'
loop_
_atom_site_label
_atom_site_fract_x
_atom_site_fract_y
_atom_site_fract_z
Zn1 0.0770 0.2500 0.2165
Fe1 0.4462 0.2500 0.7234
P1 0.1085 0.7500 0.0962
P2 0.4031 0.7500 0.5967
O1 0.1544 0.7500 0.9449
O2 0.1953 0.2500 0.8737
O3 0.2647 0.5508 0.1674
O4 0.2659 0.5432 0.6655
O5 0.2862 0.2500 0.3848
O6 0.3430 0.7500 0.4445
```

Principal peaks in the range 2θ from 5° to 70°, low angle first:
| 2θ (°) | Rel. int. | h k l |
| --- | --- | --- |
| 17.79 | 95 | 0 0 2 |
| 20.06 | 74 | 1 0 -1 |
| 25.08 | 58 | 1 1 -1 |
| 25.20 | 58 | 1 1 1 |
| 30.06 | 100 | 0 2 0 |
| 35.81 | 48 | 1 1 -3 |
| 36.07 | 64 | 1 1 3 |
| 36.43 | 43 | 1 2 -1 |

=====

(7)
Starting from a PBE+U-relaxed structure, the powder X-ray diffraction pattern of Pa4Fe3O12 was calculated for copper Kα.
Kinematic intensities with the Lorentz-polarization factor, no thermal factor.

Structural model:
```
data_Pa4Fe3O12
_chemical_formula_sum 'Pa8 Fe6 O24'
_cell_length_a 8.2879
_cell_length_b 8.2879
_cell_length_c 8.2879
_cell_angle_alpha 90.00
_cell_angle_beta 90.00
_cell_angle_gamma 90.00
_symmetry_space_group_name_H-M 'I m -3'
_symmetry_Int_Tables_number 204
_symmetry_space_group_name_Hall '-I 2 2 3'
loop_
_atom_site_label
_atom_site_fract_x
_atom_site_fract_y
_atom_site_fract_z
Pa1 0.2500 0.2500 0.2500
Fe1 0.0000 0.0000 0.5000
O1 0.0000 0.1792 0.3214
```

Principal peaks in the range 2θ from 5° to 70°, low angle first:
| 2θ (°) | Rel. int. | h k l |
| --- | --- | --- |
| 21.44 | 61 | 2 0 0 |
| 30.51 | 100 | 2 2 0 |
| 37.59 | 16 | 2 2 2 |
| 43.69 | 23 | 4 0 0 |
| 49.16 | 31 | 4 2 0 |
| 54.22 | 48 | 4 2 2 |
| 63.50 | 14 | 4 4 0 |
| 67.85 | 13 | 4 4 2 |

=====

(8)
Starting from a PBE+U-relaxed structure, the powder X-ray diffraction pattern of PaFe3O8 was calculated for copper Kα.
Kinematic intensities with the Lorentz-polarization factor, no thermal factor.

Structural model:
```
data_PaFe3O8
_chemical_formula_sum 'Pa2 Fe6 O16'
_cell_length_a 11.8390
_cell_length_b 3.9019
_cell_length_c 6.2585
_cell_angle_alpha 90.00
_cell_angle_beta 93.53
_cell_angle_gamma 90.00
_symmetry_space_group_name_H-M 'C 1 m 1'
_symmetry_Int_Tables_number 8
_symmetry_space_group_name_Hall 'C -2y'
loop_
_atom_site_label
_atom_site_fract_x
_atom_site_fract_y
_atom_site_fract_z
Pa1 0.0000 0.0000 0.0000
Fe1 0.0323 0.5000 0.4750
Fe2 0.2153 0.5000 0.8619
Fe3 0.3404 0.5000 0.4384
O1 0.0035 0.0000 0.4209
O2 0.0326 0.5000 0.7885
O3 0.0458 0.5000 0.1689
O4 0.1736 0.0000 0.9235
O5 0.1882 0.5000 0.5346
O6 0.3284 0.5000 0.1327
O7 0.3653 0.5000 0.7456
O8 0.3696 0.0000 0.4465
```

Principal peaks in the range 2θ from 5° to 70°, low angle first:
| 2θ (°) | Rel. int. | h k l |
| --- | --- | --- |
| 14.99 | 100 | 2 0 0 |
| 21.33 | 49 | 2 0 1 |
| 24.02 | 80 | 1 1 0 |
| 27.76 | 78 | 1 1 -1 |
| 28.24 | 51 | 1 1 1 |
| 28.58 | 58 | 0 0 2 |
| 36.01 | 50 | 3 1 1 |
| 46.53 | 53 | 0 2 0 |

=====

(9)
Starting from a PBE+U-relaxed structure, the powder X-ray diffraction pattern of PaFe2PbO6 was calculated for copper Kα.
Kinematic intensities with the Lorentz-polarization factor, no thermal factor.

Structural model:
```
data_PaFe2PbO6
_chemical_formula_sum 'Pa1 Fe2 Pb1 O6'
_cell_length_a 5.6350
_cell_length_b 5.6351
_cell_length_c 5.9042
_cell_angle_alpha 91.25
_cell_angle_beta 117.33
_cell_angle_gamma 119.66
_symmetry_space_group_name_H-M 'P 1'
_symmetry_Int_Tables_number 1
_symmetry_space_group_name_Hall 'P 1'
loop_
_atom_site_label
_atom_site_fract_x
_atom_site_fract_y
_atom_site_fract_z
Pa1 0.0000 0.0000 0.0000
Fe1 0.4025 0.7022 0.1022
Fe2 0.4268 0.2104 0.6391
Pb1 0.9630 0.4844 0.4433
O1 0.2445 0.3109 0.8292
O2 0.2866 0.4231 0.2969
O3 0.4324 0.0168 0.3073
O4 0.5190 0.9222 0.8385
O5 0.8718 0.8604 0.2947
O6 0.9161 0.5901 0.8382
```

Principal peaks in the range 2θ from 5° to 70°, low angle first:
| 2θ (°) | Rel. int. | h k l |
| --- | --- | --- |
| 21.59 | 91 | 1 0 0 |
| 22.07 | 44 | -1 1 1 |
| 29.82 | 52 | 1 -1 1 |
| 30.35 | 100 | 0 1 1 |
| 31.59 | 48 | 1 1 -1 |
| 31.77 | 94 | 1 -2 0 |
| 38.88 | 27 | 2 0 -2 |
| 44.00 | 42 | 0 2 -2 |

=====

(10)
Starting from a PBE+U-relaxed structure, the powder X-ray diffraction pattern of Pa2FePdO8 was calculated for copper Kα.
Kinematic intensities with the Lorentz-polarization factor, no thermal factor.

Structural model:
```
data_Pa2FePdO8
_chemical_formula_sum 'Pa4 Fe2 Pd2 O16'
_cell_length_a 5.2708
_cell_length_b 5.2708
_cell_length_c 10.9492
_cell_angle_alpha 90.00
_cell_angle_beta 90.00
_cell_angle_gamma 90.00
_symmetry_space_group_name_H-M 'I -4'
_symmetry_Int_Tables_number 82
_symmetry_space_group_name_Hall 'I -4'
loop_
_atom_site_label
_atom_site_fract_x
_atom_site_fract_y
_atom_site_fract_z
Pa1 0.0000 0.0000 0.0000
Pa2 0.0000 0.5000 0.2500
Fe1 0.0000 0.0000 0.5000
Pd1 0.0000 0.5000 0.7500
O1 0.1890 0.7427 0.4087
O2 0.1957 0.2176 0.8457
```

Principal peaks in the range 2θ from 5° to 70°, low angle first:
| 2θ (°) | Rel. int. | h k l |
| --- | --- | --- |
| 18.68 | 31 | 1 0 1 |
| 28.98 | 100 | 1 1 2 |
| 32.72 | 13 | 0 0 4 |
| 34.02 | 22 | 2 0 0 |
| 47.92 | 32 | 2 0 4 |
| 48.87 | 16 | 2 2 0 |
| 56.12 | 16 | 1 1 6 |
| 57.83 | 30 | 3 1 2 |

=====

(11)
Starting from a PBE+U-relaxed structure, the powder X-ray diffraction pattern of PaFePd2O8 was calculated for copper Kα.
Kinematic intensities with the Lorentz-polarization factor, no thermal factor.

Structural model:
```
data_PaFePd2O8
_chemical_formula_sum 'Pa2 Fe2 Pd4 O16'
_cell_length_a 6.8083
_cell_length_b 6.8083
_cell_length_c 6.8617
_cell_angle_alpha 90.00
_cell_angle_beta 90.00
_cell_angle_gamma 90.00
_symmetry_space_group_name_H-M 'I -4 m 2'
_symmetry_Int_Tables_number 119
_symmetry_space_group_name_Hall 'I -4 -2'
loop_
_atom_site_label
_atom_site_fract_x
_atom_site_fract_y
_atom_site_fract_z
Pa1 0.0000 0.0000 0.0000
Fe1 0.0000 0.5000 0.7500
Pd1 0.0000 0.0000 0.5000
Pd2 0.0000 0.5000 0.2500
O1 0.0000 0.1872 0.7167
O2 0.0000 0.3260 0.0250
```

Principal peaks in the range 2θ from 5° to 70°, low angle first:
| 2θ (°) | Rel. int. | h k l |
| --- | --- | --- |
| 18.39 | 47 | 1 1 0 |
| 26.18 | 100 | 2 0 0 |
| 32.03 | 86 | 1 1 2 |
| 37.36 | 25 | 2 2 0 |
| 50.02 | 74 | 3 1 2 |
| 53.86 | 15 | 4 0 0 |
| 60.43 | 18 | 2 0 4 |
| 64.06 | 20 | 3 3 2 |